Entry 1:
The following is a calculated X-ray diffraction stick pattern of Sc3PSe. It was derived from a crystal structure in Alexandria, relaxed with PBE, using Cu Kα, 1.54184 Å.
Kinematic intensities with the Lorentz-polarization factor, no thermal factor.

Top 6 peaks for 10 to 90 degrees two-theta, sorted by position:
2θ 24.92, I = 47; 2θ 30.90, I = 41; 2θ 36.64, I = 42; 2θ 38.35, I = 100; 2θ 39.82, I = 66; 2θ 45.81, I = 46

Structural model:
Unit cell a=7.732 b=7.732 c=8.280 alpha=120.58 beta=120.58 gamma=29.68
Atoms (fractional coordinates):
Sc 0.045 0.045 0.379
Sc 0.262 0.262 0.344
Sc 0.352 0.352 0.046
Sc 0.648 0.648 0.954
Sc 0.738 0.738 0.656
Sc 0.955 0.955 0.621
P 0.156 0.156 0.755
P 0.844 0.844 0.245
Se 0.389 0.389 0.744
Se 0.611 0.611 0.256

=====

Entry 2:
The following is a calculated X-ray diffraction stick pattern of Sc5PSe4. It was derived from a crystal structure in Alexandria, relaxed with PBE, using Cu Kα, 1.54184 Å.
Kinematic intensities with the Lorentz-polarization factor, no thermal factor.

Top 6 peaks for 10 to 90 degrees two-theta, sorted by position:
2θ 32.75, I = 100; 2θ 33.07, I = 49; 2θ 46.99, I = 33; 2θ 47.23, I = 68; 2θ 58.66, I = 33; 2θ 87.52, I = 19

Structural model:
Unit cell a=6.688 b=6.688 c=6.688 alpha=99.44 beta=99.44 gamma=132.21
Atoms (fractional coordinates):
Sc 0.000 0.000 0.000
Sc 0.223 0.406 0.628
Sc 0.406 0.777 0.183
Sc 0.594 0.223 0.817
Sc 0.777 0.594 0.372
P 0.500 0.500 0.000
Se 0.095 0.696 0.791
Se 0.304 0.095 0.398
Se 0.696 0.905 0.602
Se 0.905 0.304 0.209

=====

Entry 3:
The following is a calculated X-ray diffraction stick pattern of Sc8P3Se4. It was derived from a crystal structure in Alexandria, relaxed with PBE, using Cu Kα, 1.54184 Å.
Kinematic intensities with the Lorentz-polarization factor, no thermal factor.

Top 6 peaks for 10 to 90 degrees two-theta, sorted by position:
2θ 14.33, I = 12; 2θ 33.49, I = 100; 2θ 48.09, I = 67; 2θ 59.87, I = 22; 2θ 80.16, I = 18; 2θ 89.73, I = 14

Structural model:
Unit cell a=7.565 b=7.565 c=7.561 alpha=119.90 beta=119.90 gamma=90.13
Atoms (fractional coordinates):
Sc 0.239 0.239 0.487
Sc 0.240 0.240 0.998
Sc 0.241 0.759 0.000
Sc 0.248 0.752 0.500
Sc 0.752 0.248 0.500
Sc 0.759 0.241 0.000
Sc 0.760 0.760 0.002
Sc 0.761 0.761 0.513
P 0.000 0.000 0.000
P 0.000 0.500 0.500
P 0.500 0.000 0.500
Se 0.000 0.500 0.000
Se 0.500 0.000 0.000
Se 0.500 0.500 0.000
Se 0.500 0.500 0.500

=====

Entry 4:
The following is a calculated X-ray diffraction stick pattern of TbTh2ScP4. It was derived from a crystal structure in Alexandria, relaxed with PBE, using Cu Kα, 1.54184 Å.
Kinematic intensities with the Lorentz-polarization factor, no thermal factor.

Top 6 peaks for 10 to 90 degrees two-theta, sorted by position:
2θ 13.60, I = 20; 2θ 27.02, I = 67; 2θ 27.40, I = 22; 2θ 31.41, I = 100; 2θ 44.76, I = 37; 2θ 45.26, I = 36

Structural model:
Unit cell a=6.921 b=4.050 c=7.011 alpha=90.00 beta=109.81 gamma=90.00
Atoms (fractional coordinates):
Tb 0.000 0.000 0.000
Th 0.500 0.000 0.500
Th 0.500 0.500 0.000
Sc 0.000 0.500 0.500
P 0.233 0.000 0.738
P 0.238 0.500 0.252
P 0.762 0.500 0.748
P 0.767 0.000 0.262

=====

Entry 5:
The following is a calculated X-ray diffraction stick pattern of Tb2YScP4. It was derived from a crystal structure in Alexandria, relaxed with PBE, using Cu Kα, 1.54184 Å.
Kinematic intensities with the Lorentz-polarization factor, no thermal factor.

Top 6 peaks for 10 to 90 degrees two-theta, sorted by position:
2θ 13.70, I = 22; 2θ 27.58, I = 62; 2θ 31.95, I = 100; 2θ 45.82, I = 71; 2θ 54.32, I = 30; 2θ 56.95, I = 24

Structural model:
Unit cell a=6.856 b=3.965 c=6.859 alpha=90.00 beta=109.49 gamma=90.00
Atoms (fractional coordinates):
Tb 0.000 0.000 0.000
Tb 0.000 0.500 0.500
Y 0.500 0.000 0.500
Sc 0.500 0.500 0.000
P 0.256 0.500 0.245
P 0.261 0.000 0.760
P 0.739 0.000 0.240
P 0.744 0.500 0.755

=====

Entry 6:
The following is a calculated X-ray diffraction stick pattern of Sc2Tc12P7. It was derived from a crystal structure in Alexandria, relaxed with PBE, using Cu Kα, 1.54184 Å.
Kinematic intensities with the Lorentz-polarization factor, no thermal factor.

Top 6 peaks for 10 to 90 degrees two-theta, sorted by position:
2θ 39.56, I = 100; 2θ 42.77, I = 47; 2θ 45.08, I = 20; 2θ 46.60, I = 17; 2θ 61.55, I = 18; 2θ 79.47, I = 20

Structural model:
Unit cell a=10.642 b=10.642 c=3.012 alpha=90.00 beta=90.00 gamma=120.00
Atoms (fractional coordinates):
Sc 0.000 0.000 0.000
Sc 0.333 0.667 0.500
Tc 0.032 0.252 0.500
Tc 0.114 0.700 0.000
Tc 0.220 0.968 0.500
Tc 0.300 0.413 0.000
Tc 0.412 0.215 0.000
Tc 0.531 0.081 0.500
Tc 0.550 0.469 0.500
Tc 0.587 0.886 0.000
Tc 0.748 0.780 0.500
Tc 0.785 0.197 0.000
Tc 0.803 0.588 0.000
Tc 0.919 0.450 0.500
P 0.100 0.457 0.000
P 0.231 0.208 0.500
P 0.358 0.900 0.000
P 0.543 0.642 0.000
P 0.667 0.333 0.000
P 0.792 0.022 0.500
P 0.978 0.769 0.500

=====

Entry 7:
The following is a calculated X-ray diffraction stick pattern of Sc5Te2P2. It was derived from a crystal structure in Alexandria, relaxed with PBE, using Cu Kα, 1.54184 Å.
Kinematic intensities with the Lorentz-polarization factor, no thermal factor.

Top 6 peaks for 10 to 90 degrees two-theta, sorted by position:
2θ 24.40, I = 62; 2θ 27.52, I = 72; 2θ 34.77, I = 58; 2θ 36.28, I = 100; 2θ 39.58, I = 76; 2θ 51.13, I = 44

Structural model:
Unit cell a=7.943 b=7.943 c=7.299 alpha=90.00 beta=90.00 gamma=54.67
Atoms (fractional coordinates):
Sc 0.000 0.000 0.000
Sc 0.036 0.728 0.656
Sc 0.228 0.536 0.156
Sc 0.272 0.964 0.656
Sc 0.464 0.772 0.156
Sc 0.500 0.500 0.500
Sc 0.536 0.228 0.844
Sc 0.728 0.036 0.344
Sc 0.772 0.464 0.844
Sc 0.964 0.272 0.344
Te 0.204 0.204 0.000
Te 0.296 0.296 0.500
Te 0.704 0.704 0.500
Te 0.796 0.796 0.000
P 0.149 0.851 0.356
P 0.351 0.649 0.856
P 0.649 0.351 0.144
P 0.851 0.149 0.644

=====

Entry 8:
The following is a calculated X-ray diffraction stick pattern of Th2ScP3. It was derived from a crystal structure in Alexandria, relaxed with PBE, using Cu Kα, 1.54184 Å.
Kinematic intensities with the Lorentz-polarization factor, no thermal factor.

Top 6 peaks for 10 to 90 degrees two-theta, sorted by position:
2θ 10.38, I = 34; 2θ 26.96, I = 100; 2θ 31.10, I = 76; 2θ 31.48, I = 37; 2θ 44.84, I = 55; 2θ 52.85, I = 34

Structural model:
Unit cell a=4.067 b=4.067 c=17.050 alpha=90.00 beta=90.00 gamma=90.00
Atoms (fractional coordinates):
Th 0.000 0.000 0.165
Th 0.000 0.000 0.835
Th 0.500 0.500 0.335
Th 0.500 0.500 0.665
Sc 0.000 0.000 0.500
Sc 0.500 0.500 0.000
P 0.000 0.000 0.000
P 0.000 0.000 0.341
P 0.000 0.000 0.659
P 0.500 0.500 0.159
P 0.500 0.500 0.500
P 0.500 0.500 0.841

=====

Entry 9:
The following is a calculated X-ray diffraction stick pattern of ScTlP. It was derived from a crystal structure in Alexandria, relaxed with PBE, using Cu Kα, 1.54184 Å.
Kinematic intensities with the Lorentz-polarization factor, no thermal factor.

Top 6 peaks for 10 to 90 degrees two-theta, sorted by position:
2θ 13.10, I = 79; 2θ 27.63, I = 69; 2θ 30.69, I = 100; 2θ 34.31, I = 34; 2θ 37.10, I = 50; 2θ 38.56, I = 40

Structural model:
Unit cell a=4.122 b=6.761 c=5.192 alpha=90.00 beta=90.00 gamma=90.00
Atoms (fractional coordinates):
Sc 0.000 0.100 0.000
Sc 0.500 0.900 0.500
Tl 0.000 0.547 0.734
Tl 0.500 0.453 0.234
P 0.000 0.130 0.501
P 0.500 0.870 0.001

=====

Entry 10:
The following is a calculated X-ray diffraction stick pattern of TmSc4P5. It was derived from a crystal structure in Alexandria, relaxed with PBE, using Cu Kα, 1.54184 Å.
Kinematic intensities with the Lorentz-polarization factor, no thermal factor.

Top 6 peaks for 10 to 90 degrees two-theta, sorted by position:
2θ 17.14, I = 19; 2θ 28.80, I = 29; 2θ 33.37, I = 100; 2θ 47.92, I = 68; 2θ 59.65, I = 23; 2θ 79.95, I = 19

Structural model:
Unit cell a=10.036 b=10.036 c=10.036 alpha=158.20 beta=148.92 gamma=38.28
Atoms (fractional coordinates):
Tm 0.000 0.000 0.000
Sc 0.202 0.202 0.000
Sc 0.399 0.399 0.000
Sc 0.601 0.601 0.000
Sc 0.798 0.798 0.000
P 0.104 0.604 0.500
P 0.300 0.800 0.500
P 0.500 0.000 0.500
P 0.700 0.200 0.500
P 0.896 0.396 0.500

=====

Entry 11:
The following is a calculated X-ray diffraction stick pattern of Y2TmScP4. It was derived from a crystal structure in Alexandria, relaxed with PBE, using Cu Kα, 1.54184 Å.
Kinematic intensities with the Lorentz-polarization factor, no thermal factor.

Top 6 peaks for 10 to 90 degrees two-theta, sorted by position:
2θ 27.76, I = 53; 2θ 32.16, I = 100; 2θ 46.12, I = 70; 2θ 54.69, I = 25; 2θ 57.34, I = 24; 2θ 76.54, I = 30

Structural model:
Unit cell a=6.813 b=3.939 c=6.817 alpha=90.00 beta=109.49 gamma=90.00
Atoms (fractional coordinates):
Y 0.000 0.000 0.000
Y 0.000 0.500 0.500
Tm 0.500 0.000 0.500
Sc 0.500 0.500 0.000
P 0.258 0.500 0.248
P 0.262 0.000 0.759
P 0.738 0.000 0.241
P 0.742 0.500 0.752

=====

Entry 12:
The following is a calculated X-ray diffraction stick pattern of Sc2VP2. It was derived from a crystal structure in Alexandria, relaxed with PBE, using Cu Kα, 1.54184 Å.
Kinematic intensities with the Lorentz-polarization factor, no thermal factor.

Top 6 peaks for 10 to 90 degrees two-theta, sorted by position:
2θ 30.62, I = 16; 2θ 36.55, I = 41; 2θ 39.22, I = 100; 2θ 44.46, I = 43; 2θ 47.83, I = 22; 2θ 67.35, I = 23

Structural model:
Unit cell a=6.444 b=6.444 c=3.804 alpha=90.00 beta=90.00 gamma=90.00
Atoms (fractional coordinates):
Sc 0.171 0.329 0.000
Sc 0.329 0.829 0.000
Sc 0.671 0.171 0.000
Sc 0.829 0.671 0.000
V 0.000 0.000 0.500
V 0.500 0.500 0.500
P 0.137 0.637 0.500
P 0.363 0.137 0.500
P 0.637 0.863 0.500
P 0.863 0.363 0.500